LaMg14W: theoretical powder XRD pattern (a wavelength of 1.5418 Å), based on a structure optimized by DFT (PBE).

Peak list (10 most intense, 10 to 80 degrees two-theta, in order of rising 2θ)
d_spacing, 2θ (°), I (rel.), h k l
5.739, 15.44, 46, 0 0 2
5.203, 17.04, 36, 2 0 0
5.025, 17.65, 66, 1 0 2
3.855, 23.07, 34, 2 0 2
2.693, 33.27, 36, 0 2 2
2.604, 34.45, 67, 4 0 0
2.513, 35.73, 63, 2 0 4
2.391, 37.61, 100, 2 2 2
1.871, 48.67, 25, 4 2 2
1.375, 68.18, 21, 4 2 6

Cell and atoms:
a b c (Å): 10.406 6.098 11.478
angles (deg): 90.00 90.00 90.00
Space group Amm2 (No. 38)
Inequivalent atoms, fractional coordinates:
La 0.000 0.000 0.000 (multiplicity 2)
Mg 0.000 0.245 0.250 (multiplicity 4)
Mg 0.234 0.000 0.650 (multiplicity 4)
Mg 0.251 0.240 0.409 (multiplicity 8)
Mg 0.262 0.000 0.161 (multiplicity 4)
Mg 0.500 0.000 0.496 (multiplicity 2)
Mg 0.500 0.000 0.994 (multiplicity 2)
Mg 0.500 0.247 0.746 (multiplicity 4)
W 0.000 0.000 0.493 (multiplicity 2)



LaMg14W: theoretical powder XRD pattern (a wavelength of 1.5418 Å), based on a structure optimized by DFT (PBE).

Peak list (10 most intense, 10 to 80 degrees two-theta, in order of rising 2θ)
d_spacing, 2θ (°), I (rel.), h k l
5.602, 15.82, 78, 1 0 0
5.102, 17.38, 21, 0 0 2
3.772, 23.59, 59, 1 0 2
3.234, 27.58, 21, 1 1 0
2.801, 31.95, 34, 2 0 0
2.732, 32.79, 26, 1 1 2
2.551, 35.18, 23, 0 0 4
2.455, 36.60, 100, 2 0 2
1.956, 46.44, 22, 2 1 2
1.886, 48.25, 21, 2 0 4

Cell and atoms:
a b c (Å): 6.4681 6.4681 10.2048
angles (deg): 90.00 90.00 120.00
Space group P-6m2 (No. 187)
Inequivalent atoms, fractional coordinates:
La 0.0000 0.0000 0.0000 (multiplicity 1)
Mg 0.0128 0.5064 0.0000 (multiplicity 3)
Mg 0.1635 0.3270 0.2692 (multiplicity 6)
Mg 0.5023 0.0046 0.5000 (multiplicity 3)
Mg 0.6667 0.3333 0.2414 (multiplicity 2)
W 0.0000 0.0000 0.5000 (multiplicity 1)



LaYMg14: theoretical powder XRD pattern (a wavelength of 1.5418 Å), based on a structure optimized by DFT (PBE).

Peak list (10 most intense, 10 to 80 degrees two-theta, in order of rising 2θ)
d_spacing, 2θ (°), I (rel.), h k l
5.780, 15.33, 22, 0 0 2
5.270, 16.82, 19, 2 0 0
5.068, 17.50, 33, 1 0 2
3.895, 22.83, 20, 2 0 2
2.852, 31.36, 29, 0 2 2
2.635, 34.02, 37, 4 0 0
2.534, 35.42, 50, 2 0 4
2.509, 35.79, 100, 2 2 2
1.496, 62.04, 19, 6 2 2
1.405, 66.54, 19, 4 2 6

Cell and atoms:
a b c (Å): 10.541 6.559 11.561
angles (deg): 90.00 90.00 90.00
Space group Amm2 (No. 38)
Inequivalent atoms, fractional coordinates:
La 0.000 0.000 0.000 (multiplicity 2)
Y 0.000 0.000 0.498 (multiplicity 2)
Mg 0.000 0.248 0.253 (multiplicity 4)
Mg 0.251 0.000 0.670 (multiplicity 4)
Mg 0.255 0.000 0.171 (multiplicity 4)
Mg 0.261 0.247 0.416 (multiplicity 8)
Mg 0.500 0.000 0.002 (multiplicity 2)
Mg 0.500 0.000 0.502 (multiplicity 2)
Mg 0.500 0.250 0.252 (multiplicity 4)



LaYMg4: theoretical powder XRD pattern (a wavelength of 1.5418 Å), based on a structure optimized by DFT (PBE).

Peak list (10 most intense, 10 to 80 degrees two-theta, in order of rising 2θ)
d_spacing, 2θ (°), I (rel.), h k l
5.003, 17.73, 47, 1 1 1
3.064, 29.15, 87, 2 2 0
2.613, 34.32, 100, 3 1 1
1.988, 45.63, 13, 3 3 1
1.769, 51.67, 34, 4 2 2
1.668, 55.07, 34, 5 1 1
1.532, 60.43, 22, 4 4 0
1.465, 63.51, 9, 5 3 1
1.370, 68.48, 15, 6 2 0
1.322, 71.37, 11, 5 3 3

Cell and atoms:
a b c (Å): 8.666 8.666 8.666
angles (deg): 90.00 90.00 90.00
Space group F-43m (No. 216)
Inequivalent atoms, fractional coordinates:
La 0.000 0.000 0.000 (multiplicity 4)
Y 0.250 0.250 0.250 (multiplicity 4)
Mg 0.125 0.125 0.625 (multiplicity 16)



LaYMg14: theoretical powder XRD pattern (a wavelength of 1.5418 Å), based on a structure optimized by DFT (PBE).

Peak list (10 most intense, 10 to 80 degrees two-theta, in order of rising 2θ)
d_spacing, 2θ (°), I (rel.), h k l
5.798, 15.28, 43, 1 0 0
3.856, 23.07, 37, 1 0 2
2.899, 30.84, 30, 2 0 0
2.809, 31.86, 15, 1 1 2
2.582, 34.75, 23, 0 0 4
2.528, 35.51, 100, 2 0 2
1.928, 47.14, 18, 2 0 4
1.674, 54.85, 18, 2 2 0
1.480, 62.79, 18, 2 0 6
1.404, 66.58, 19, 2 2 4

Cell and atoms:
a b c (Å): 6.6952 6.6952 10.3265
angles (deg): 90.00 90.00 120.00
Space group P-6m2 (No. 187)
Inequivalent atoms, fractional coordinates:
La 0.0000 0.0000 0.0000 (multiplicity 1)
Y 0.0000 0.0000 0.5000 (multiplicity 1)
Mg 0.0049 0.5024 0.5000 (multiplicity 3)
Mg 0.0064 0.5032 0.0000 (multiplicity 3)
Mg 0.1710 0.3420 0.2523 (multiplicity 6)
Mg 0.6667 0.3333 0.2485 (multiplicity 2)



LaYMg2: theoretical powder XRD pattern (a wavelength of 1.5418 Å), based on a structure optimized by DFT (PBE).

Peak list (10 most intense, 10 to 80 degrees two-theta, in order of rising 2θ)
d_spacing, 2θ (°), I (rel.), h k l
4.484, 19.80, 6, 1 1 1
3.883, 22.90, 49, 2 0 0
2.746, 32.61, 100, 2 2 0
2.242, 40.23, 15, 2 2 2
1.941, 46.79, 18, 4 0 0
1.736, 52.71, 20, 4 2 0
1.585, 58.20, 37, 4 2 2
1.373, 68.33, 11, 4 4 0
1.294, 73.11, 9, 6 0 0
1.228, 77.78, 15, 6 2 0

Cell and atoms:
a b c (Å): 7.766 7.766 7.766
angles (deg): 90.00 90.00 90.00
Space group Fm-3m (No. 225)
Inequivalent atoms, fractional coordinates:
La 0.000 0.000 0.000 (multiplicity 4)
Y 0.000 0.000 0.500 (multiplicity 4)
Mg 0.250 0.250 0.250 (multiplicity 8)



LaMg6Zn: theoretical powder XRD pattern (a wavelength of 1.5418 Å), based on a structure optimized by DFT (PBE).

Peak list (10 most intense, 10 to 80 degrees two-theta, in order of rising 2θ)
d_spacing, 2θ (°), I (rel.), h k l
6.177, 14.34, 57, 0 0 2
5.124, 17.31, 43, 1 0 0
3.944, 22.55, 42, 1 0 2
3.771, 23.59, 21, 1 1 1
2.854, 31.34, 27, 1 1 3
2.785, 32.14, 41, 0 2 2
2.645, 33.89, 60, 1 0 4
2.562, 35.03, 41, 2 0 0
2.447, 36.73, 100, 1 2 2
1.886, 48.27, 26, 2 2 2

Cell and atoms:
a b c (Å): 5.124 6.241 12.355
angles (deg): 90.00 90.00 90.00
Space group Amm2 (No. 38)
Inequivalent atoms, fractional coordinates:
La 0.000 0.000 0.000 (multiplicity 2)
Mg 0.000 0.249 0.746 (multiplicity 4)
Mg 0.500 0.000 0.163 (multiplicity 2)
Mg 0.500 0.000 0.624 (multiplicity 2)
Mg 0.500 0.243 0.391 (multiplicity 4)
Zn 0.000 0.000 0.448 (multiplicity 2)



LaMg6Zn: theoretical powder XRD pattern (a wavelength of 1.5418 Å), based on a structure optimized by DFT (PBE).

Peak list (10 most intense, 10 to 80 degrees two-theta, in order of rising 2θ)
d_spacing, 2θ (°), I (rel.), h k l
5.810, 15.25, 95, 0 1 1
3.819, 23.29, 63, 1 0 2
2.907, 30.76, 31, 0 2 2
2.795, 32.02, 37, 1 1 3
2.536, 35.40, 35, 2 0 0
2.522, 35.60, 100, 1 2 2
2.515, 35.70, 56, 1 0 4
1.910, 47.60, 25, 2 2 2
1.461, 63.70, 27, 3 0 4
1.397, 66.97, 36, 2 2 6

Cell and atoms:
a b c (Å): 5.072 6.722 11.585
angles (deg): 90.00 90.00 90.00
Space group Amm2 (No. 38)
Inequivalent atoms, fractional coordinates:
La 0.000 0.000 0.000 (multiplicity 2)
Mg 0.000 0.000 0.489 (multiplicity 2)
Mg 0.000 0.240 0.247 (multiplicity 4)
Mg 0.500 0.000 0.658 (multiplicity 2)
Mg 0.500 0.234 0.402 (multiplicity 4)
Zn 0.500 0.000 0.164 (multiplicity 2)